# KFeAgF6
Calculated X-ray powder pattern, copper Kα. Input: a GGA+U-relaxed structure.
No peak broadening, texture or thermal motion is included.

Crystal structure
Cell: 5.6369 5.6369 5.5634 Å, 90.90 90.90 117.30°
Fractional positions:
K (0.0000, 0.0000, 0.0000)
Fe (0.6668, 0.3332, 0.5000)
Ag (0.3301, 0.6699, 0.5000)
F (0.3790, 0.0367, 0.6801)
F (0.3836, 0.3668, 0.2998)
F (0.6332, 0.6164, 0.7002)
F (0.6579, 0.0656, 0.2820)
F (0.9344, 0.3421, 0.7180)
F (0.9633, 0.6210, 0.3199)

Main lines, in order of rising 2θ (10 to 80 degrees two-theta):
Position (°2θ)	intensity
15.94	1000
23.60	550
24.22	488
24.46	495
31.79	307
34.14	234
35.95	411
46.22	412